# 1
Rb2B2Se7: simulated X-ray powder pattern (Cu Kα, 1.54184 Å), based on a structure optimized by DFT (PBE).
Intensities are scaled so that the largest is 100.

Structure:
abc: 9.0183 9.0183 13.0650
angles: 120.07 120.07 49.30
Fractional coordinates of all 22 atoms:
Rb (0.1187, 0.6734, 0.9764)
Rb (0.3266, 0.8813, 0.5236)
Rb (0.6734, 0.1187, 0.4764)
Rb (0.8813, 0.3266, 0.0236)
B (0.1538, 0.6150, 0.6509)
B (0.3850, 0.8462, 0.8491)
B (0.6150, 0.1538, 0.1509)
B (0.8462, 0.3850, 0.3491)
Se (0.0620, 0.1005, 0.2721)
Se (0.1005, 0.0620, 0.7721)
Se (0.1466, 0.4019, 0.6636)
Se (0.1674, 0.5695, 0.4845)
Se (0.4019, 0.1466, 0.1636)
Se (0.4305, 0.8326, 0.0155)
Se (0.4464, 0.5536, 0.7500)
Se (0.5536, 0.4464, 0.2500)
Se (0.5695, 0.1674, 0.9845)
Se (0.5981, 0.8534, 0.8364)
Se (0.8326, 0.4305, 0.5155)
Se (0.8534, 0.5981, 0.3364)
Se (0.8995, 0.9380, 0.2279)
Se (0.9380, 0.8995, 0.7279)

Principal peaks in the range 2θ = 10–90°, by angle:
2θ/deg, I_rel
13.73, 63
21.78, 40
27.66, 35
27.77, 67
28.84, 100
29.78, 36
30.35, 27
30.46, 21
32.88, 31
34.90, 20
41.11, 25
50.52, 18



# 2
ReB3: simulated X-ray powder pattern (Cu Kα, 1.54184 Å), based on a structure optimized by DFT (PBE).
Intensities are scaled so that the largest is 100.

Structure:
abc: 3.1478 3.1478 7.6239
angles: 90.00 90.00 120.00
Fractional coordinates of all 8 atoms:
Re (0.3333, 0.6667, 0.2500)
Re (0.6667, 0.3333, 0.7500)
B (0.0000, 0.0000, 0.0000)
B (0.0000, 0.0000, 0.5000)
B (0.3333, 0.6667, 0.5570)
B (0.3333, 0.6667, 0.9430)
B (0.6667, 0.3333, 0.0570)
B (0.6667, 0.3333, 0.4430)

Principal peaks in the range 2θ = 10–90°, by angle:
2θ/deg, I_rel
23.34, 50
32.85, 21
34.96, 100
40.69, 24
47.72, 11
49.00, 47
58.66, 20
64.00, 21
70.14, 14
70.80, 12
78.87, 15
79.85, 11



# 3
Re3B: simulated X-ray powder pattern (Cu Kα, 1.54184 Å), based on a structure optimized by DFT (PBE).
Intensities are scaled so that the largest is 100.

Structure:
abc: 2.9117 9.4102 7.3681
angles: 90.00 90.00 90.00
Fractional coordinates of all 16 atoms:
Re (0.0000, 0.0766, 0.2500)
Re (0.0000, 0.3669, 0.0654)
Re (0.0000, 0.3669, 0.4346)
Re (0.0000, 0.6331, 0.5654)
Re (0.0000, 0.6331, 0.9346)
Re (0.0000, 0.9234, 0.7500)
Re (0.5000, 0.1331, 0.5654)
Re (0.5000, 0.1331, 0.9346)
Re (0.5000, 0.4234, 0.7500)
Re (0.5000, 0.5766, 0.2500)
Re (0.5000, 0.8669, 0.0654)
Re (0.5000, 0.8669, 0.4346)
B (0.0000, 0.2448, 0.7500)
B (0.0000, 0.7552, 0.2500)
B (0.5000, 0.2552, 0.2500)
B (0.5000, 0.7448, 0.7500)

Principal peaks in the range 2θ = 10–90°, by angle:
2θ/deg, I_rel
34.46, 47
38.26, 44
40.64, 94
41.47, 100
42.35, 39
44.18, 52
49.50, 19
70.90, 29
72.61, 19
78.34, 23
78.95, 18
79.14, 31



# 4
ReB: simulated X-ray powder pattern (Cu Kα, 1.54184 Å), based on a structure optimized by DFT (PBE).
Intensities are scaled so that the largest is 100.

Structure:
abc: 7.5338 7.5338 7.5338
angles: 94.57 94.57 147.22
Fractional coordinates of all 16 atoms:
Re (0.1191, 0.2365, 0.6175)
Re (0.1191, 0.5016, 0.8825)
Re (0.2365, 0.1191, 0.1175)
Re (0.4984, 0.8809, 0.6175)
Re (0.5016, 0.1191, 0.3825)
Re (0.7635, 0.8809, 0.8825)
Re (0.8809, 0.4984, 0.1175)
Re (0.8809, 0.7635, 0.3825)
B (0.0447, 0.6167, 0.4280)
B (0.3113, 0.3833, 0.9280)
B (0.3833, 0.3113, 0.4280)
B (0.3833, 0.9553, 0.0720)
B (0.6167, 0.0447, 0.9280)
B (0.6167, 0.6887, 0.5720)
B (0.6887, 0.6167, 0.0720)
B (0.9553, 0.3833, 0.5720)

Principal peaks in the range 2θ = 10–90°, by angle:
2θ/deg, I_rel
17.35, 100
28.67, 34
33.71, 68
39.42, 37
42.20, 67
44.42, 41
49.47, 20
50.51, 29
57.85, 28
69.49, 24
78.77, 15
80.32, 23



# 5
Tb3ReB7: simulated X-ray powder pattern (Cu Kα, 1.54184 Å), based on a structure optimized by DFT (PBE).
Intensities are scaled so that the largest is 100.

Structure:
abc: 8.1317 8.1317 9.3918
angles: 90.00 90.00 154.79
Fractional coordinates of all 22 atoms:
Tb (0.1052, 0.8948, 0.5604)
Tb (0.1052, 0.8948, 0.9396)
Tb (0.2424, 0.7576, 0.2500)
Tb (0.7576, 0.2424, 0.7500)
Tb (0.8948, 0.1052, 0.0604)
Tb (0.8948, 0.1052, 0.4396)
Re (0.0531, 0.9469, 0.2500)
Re (0.9469, 0.0531, 0.7500)
B (0.2731, 0.7269, 0.5330)
B (0.2731, 0.7269, 0.9670)
B (0.3680, 0.6320, 0.6509)
B (0.3680, 0.6320, 0.8491)
B (0.4589, 0.5411, 0.2500)
B (0.4786, 0.5214, 0.5958)
B (0.4786, 0.5214, 0.9042)
B (0.5214, 0.4786, 0.0958)
B (0.5214, 0.4786, 0.4042)
B (0.5411, 0.4589, 0.7500)
B (0.6320, 0.3680, 0.1509)
B (0.6320, 0.3680, 0.3491)
B (0.7269, 0.2731, 0.0330)
B (0.7269, 0.2731, 0.4670)

Principal peaks in the range 2θ = 10–90°, by angle:
2θ/deg, I_rel
25.72, 100
29.47, 68
30.70, 65
33.89, 31
35.25, 24
38.77, 76
39.27, 59
42.11, 26
42.79, 23
48.21, 23
51.49, 25
60.45, 31



# 6
ThReB4: simulated X-ray powder pattern (Cu Kα, 1.54184 Å), based on a structure optimized by DFT (PBE).
Intensities are scaled so that the largest is 100.

Structure:
abc: 6.0860 6.0860 3.7479
angles: 90.00 90.00 104.07
Fractional coordinates of all 12 atoms:
Th (0.1994, 0.8006, 0.0000)
Th (0.8006, 0.1994, 0.0000)
Re (0.3176, 0.3176, 0.0000)
Re (0.6824, 0.6824, 0.0000)
B (0.1255, 0.4357, 0.5000)
B (0.1281, 0.1281, 0.5000)
B (0.4109, 0.5891, 0.5000)
B (0.4357, 0.1255, 0.5000)
B (0.5643, 0.8745, 0.5000)
B (0.5891, 0.4109, 0.5000)
B (0.8719, 0.8719, 0.5000)
B (0.8745, 0.5643, 0.5000)

Principal peaks in the range 2θ = 10–90°, by angle:
2θ/deg, I_rel
23.74, 76
30.28, 49
30.39, 35
37.22, 19
38.87, 100
44.63, 26
44.86, 14
48.59, 19
58.35, 35
60.89, 13
66.30, 20
74.36, 15



# 7
Tm3ReB7: simulated X-ray powder pattern (Cu Kα, 1.54184 Å), based on a structure optimized by DFT (PBE).
Intensities are scaled so that the largest is 100.

Structure:
abc: 7.9750 7.9750 9.2732
angles: 90.00 90.00 154.67
Fractional coordinates of all 22 atoms:
Tm (0.1057, 0.8943, 0.5596)
Tm (0.1057, 0.8943, 0.9404)
Tm (0.2433, 0.7567, 0.2500)
Tm (0.7567, 0.2433, 0.7500)
Tm (0.8943, 0.1057, 0.0596)
Tm (0.8943, 0.1057, 0.4404)
Re (0.0522, 0.9478, 0.2500)
Re (0.9478, 0.0522, 0.7500)
B (0.2725, 0.7275, 0.5336)
B (0.2725, 0.7275, 0.9664)
B (0.3675, 0.6325, 0.6502)
B (0.3675, 0.6325, 0.8498)
B (0.4542, 0.5458, 0.2500)
B (0.4801, 0.5199, 0.5945)
B (0.4801, 0.5199, 0.9055)
B (0.5199, 0.4801, 0.0945)
B (0.5199, 0.4801, 0.4055)
B (0.5458, 0.4542, 0.7500)
B (0.6325, 0.3675, 0.1502)
B (0.6325, 0.3675, 0.3498)
B (0.7275, 0.2725, 0.0336)
B (0.7275, 0.2725, 0.4664)

Principal peaks in the range 2θ = 10–90°, by angle:
2θ/deg, I_rel
26.11, 100
29.98, 73
31.13, 64
34.58, 31
38.73, 23
39.33, 78
39.98, 58
42.76, 24
43.54, 25
52.31, 25
61.47, 32
64.24, 26



# 8
U2ReB6: simulated X-ray powder pattern (Cu Kα, 1.54184 Å), based on a structure optimized by DFT (PBE).
Intensities are scaled so that the largest is 100.

Structure:
abc: 9.2677 11.3524 3.6398
angles: 90.00 90.00 90.00
Fractional coordinates of all 36 atoms:
U (0.0441, 0.1048, 0.0000)
U (0.1645, 0.4077, 0.0000)
U (0.3355, 0.9077, 0.0000)
U (0.4559, 0.6048, 0.0000)
U (0.5441, 0.3952, 0.0000)
U (0.6645, 0.0923, 0.0000)
U (0.8355, 0.5923, 0.0000)
U (0.9559, 0.8952, 0.0000)
Re (0.1431, 0.6799, 0.0000)
Re (0.3569, 0.1799, 0.0000)
Re (0.6431, 0.8201, 0.0000)
Re (0.8569, 0.3201, 0.0000)
B (0.0160, 0.2814, 0.5000)
B (0.0493, 0.5670, 0.5000)
B (0.1433, 0.8122, 0.5000)
B (0.1430, 0.9609, 0.5000)
B (0.1976, 0.2276, 0.5000)
B (0.2421, 0.5765, 0.5000)
B (0.2579, 0.0765, 0.5000)
B (0.3024, 0.7276, 0.5000)
B (0.3567, 0.3122, 0.5000)
B (0.3570, 0.4609, 0.5000)
B (0.4507, 0.0670, 0.5000)
B (0.4840, 0.7814, 0.5000)
B (0.5160, 0.2186, 0.5000)
B (0.5493, 0.9330, 0.5000)
B (0.6430, 0.5391, 0.5000)
B (0.6433, 0.6878, 0.5000)
B (0.6976, 0.2724, 0.5000)
B (0.7421, 0.9235, 0.5000)
B (0.7579, 0.4235, 0.5000)
B (0.8024, 0.7724, 0.5000)
B (0.8570, 0.0391, 0.5000)
B (0.8567, 0.1878, 0.5000)
B (0.9507, 0.4330, 0.5000)
B (0.9840, 0.7186, 0.5000)

Principal peaks in the range 2θ = 10–90°, by angle:
2θ/deg, I_rel
24.46, 100
29.98, 48
30.50, 39
31.52, 22
33.01, 29
39.06, 56
39.47, 46
40.30, 26
41.51, 36
50.12, 20
59.54, 26
60.46, 22



# 9
UReB4: simulated X-ray powder pattern (Cu Kα, 1.54184 Å), based on a structure optimized by DFT (PBE).
Intensities are scaled so that the largest is 100.

Structure:
abc: 5.9274 11.5076 3.6001
angles: 90.00 90.00 90.00
Fractional coordinates of all 24 atoms:
U (0.1290, 0.1499, 0.0000)
U (0.3710, 0.6499, 0.0000)
U (0.6290, 0.3501, 0.0000)
U (0.8710, 0.8501, 0.0000)
Re (0.1406, 0.4062, 0.0000)
Re (0.3594, 0.9062, 0.0000)
Re (0.6406, 0.0938, 0.0000)
Re (0.8594, 0.5938, 0.0000)
B (0.0261, 0.6928, 0.5000)
B (0.1152, 0.5469, 0.5000)
B (0.1321, 0.9678, 0.5000)
B (0.2092, 0.8109, 0.5000)
B (0.2908, 0.3109, 0.5000)
B (0.3679, 0.4678, 0.5000)
B (0.3848, 0.0469, 0.5000)
B (0.4739, 0.1928, 0.5000)
B (0.5261, 0.8072, 0.5000)
B (0.6152, 0.9531, 0.5000)
B (0.6321, 0.5322, 0.5000)
B (0.7092, 0.6891, 0.5000)
B (0.7908, 0.1891, 0.5000)
B (0.8679, 0.0322, 0.5000)
B (0.8848, 0.4531, 0.5000)
B (0.9739, 0.3072, 0.5000)

Principal peaks in the range 2θ = 10–90°, by angle:
2θ/deg, I_rel
24.73, 88
27.70, 14
31.13, 86
34.66, 19
37.47, 15
38.38, 23
40.16, 100
43.04, 25
46.20, 31
50.72, 18
60.72, 27
88.27, 16



# 10
UReB4: simulated X-ray powder pattern (Cu Kα, 1.54184 Å), based on a structure optimized by DFT (PBE).
Intensities are scaled so that the largest is 100.

Structure:
abc: 5.9266 5.9266 3.6044
angles: 90.00 90.00 104.03
Fractional coordinates of all 12 atoms:
U (0.1997, 0.8003, 0.0000)
U (0.8003, 0.1997, 0.0000)
Re (0.3128, 0.3128, 0.0000)
Re (0.6872, 0.6872, 0.0000)
B (0.1166, 0.4357, 0.5000)
B (0.1194, 0.1194, 0.5000)
B (0.4071, 0.5929, 0.5000)
B (0.4357, 0.1166, 0.5000)
B (0.5643, 0.8834, 0.5000)
B (0.5929, 0.4071, 0.5000)
B (0.8806, 0.8806, 0.5000)
B (0.8834, 0.5643, 0.5000)

Principal peaks in the range 2θ = 10–90°, by angle:
2θ/deg, I_rel
24.70, 70
31.11, 52
31.23, 34
38.24, 18
40.16, 100
46.06, 25
46.32, 13
50.65, 14
60.67, 27
62.71, 13
68.47, 19
84.69, 12



# 11
Y3ReB7: simulated X-ray powder pattern (Cu Kα, 1.54184 Å), based on a structure optimized by DFT (PBE).
Intensities are scaled so that the largest is 100.

Structure:
abc: 8.1112 8.1112 9.3708
angles: 90.00 90.00 154.76
Fractional coordinates of all 22 atoms:
Y (0.1052, 0.8948, 0.5601)
Y (0.1052, 0.8948, 0.9399)
Y (0.2420, 0.7580, 0.2500)
Y (0.7580, 0.2420, 0.7500)
Y (0.8948, 0.1052, 0.0601)
Y (0.8948, 0.1052, 0.4399)
Re (0.0530, 0.9470, 0.2500)
Re (0.9470, 0.0530, 0.7500)
B (0.2730, 0.7270, 0.5337)
B (0.2730, 0.7270, 0.9663)
B (0.3682, 0.6318, 0.6508)
B (0.3682, 0.6318, 0.8492)
B (0.4577, 0.5423, 0.2500)
B (0.4794, 0.5206, 0.5955)
B (0.4794, 0.5206, 0.9045)
B (0.5206, 0.4794, 0.0955)
B (0.5206, 0.4794, 0.4045)
B (0.5423, 0.4577, 0.7500)
B (0.6318, 0.3682, 0.1508)
B (0.6318, 0.3682, 0.3492)
B (0.7270, 0.2730, 0.0337)
B (0.7270, 0.2730, 0.4663)

Principal peaks in the range 2θ = 10–90°, by angle:
2θ/deg, I_rel
11.18, 46
25.76, 100
29.55, 47
30.77, 57
33.98, 25
35.34, 30
36.65, 27
38.85, 62
39.35, 71
42.20, 33
48.32, 32
60.58, 25